1.
This entry pairs a crystal structure of Rb2CaPuBr6 with its simulated XRD peak list. Radiation: copper Kα. Structure: a PBE-relaxed structure.

Cell and atoms:
a b c (Å): 7.9438 8.2786 13.9135
angles (deg): 90.00 124.72 90.00
Sites, in units of the cell vectors:
Rb (0.2296, 0.0657, 0.2498)
Rb (0.2296, 0.4343, 0.7498)
Rb (0.7704, 0.5657, 0.2502)
Rb (0.7704, 0.9343, 0.7502)
Ca (0.0000, 0.0000, 0.5000)
Ca (0.0000, 0.5000, 0.0000)
Pu (0.5000, 0.0000, 0.0000)
Pu (0.5000, 0.5000, 0.5000)
Br (0.1482, 0.2071, 0.9525)
Br (0.1482, 0.2929, 0.4525)
Br (0.2508, 0.6990, 0.9541)
Br (0.2508, 0.8010, 0.4541)
Br (0.3368, 0.0238, 0.7457)
Br (0.3368, 0.4762, 0.2457)
Br (0.6632, 0.5238, 0.7543)
Br (0.6632, 0.9762, 0.2543)
Br (0.7492, 0.1990, 0.5459)
Br (0.7492, 0.3010, 0.0459)
Br (0.8518, 0.7071, 0.5475)
Br (0.8518, 0.7929, 0.0475)

Top 8 peaks for 15° ≤ 2θ ≤ 90°, by intensity:
two_theta, Rel. int.
31.2, 100
15.5, 54
22.0, 48
39.0, 39
26.1, 35
34.4, 32
25.9, 30
44.8, 29



2.
This entry pairs a crystal structure of Rb2CaBr7 with its simulated XRD peak list. Radiation: copper Kα. Structure: a PBE-relaxed structure.

Cell and atoms:
a b c (Å): 8.2227 8.2227 8.2227
angles (deg): 116.16 116.16 96.80
Sites, in units of the cell vectors:
Rb (0.2500, 0.7500, 0.5000)
Rb (0.7500, 0.2500, 0.5000)
Ca (0.0000, 0.0000, 0.0000)
Br (0.2287, 0.2287, 0.4575)
Br (0.2287, 0.7713, 0.0000)
Br (0.2709, 0.2709, 0.0000)
Br (0.5000, 0.5000, 0.0000)
Br (0.7291, 0.7291, 0.0000)
Br (0.7713, 0.2287, 0.0000)
Br (0.7713, 0.7713, 0.5425)

Top 8 peaks for 15° ≤ 2θ ≤ 90°, by intensity:
two_theta, Rel. int.
26.2, 100
29.0, 82
44.4, 47
32.8, 30
41.5, 29
49.8, 28
53.9, 24
77.8, 14



3.
This entry pairs a crystal structure of RbCa4Br8 with its simulated XRD peak list. Radiation: copper Kα. Structure: a PBE-relaxed structure.

Cell and atoms:
a b c (Å): 10.3878 10.3878 13.9676
angles (deg): 128.55 128.55 24.09
Sites, in units of the cell vectors:
Rb (0.0000, 0.0000, 0.0000)
Ca (0.1452, 0.1452, 0.4688)
Ca (0.3393, 0.3393, 0.1719)
Ca (0.6597, 0.6597, 0.8272)
Ca (0.8538, 0.8538, 0.5304)
Br (0.0370, 0.0370, 0.7514)
Br (0.2868, 0.2868, 0.9210)
Br (0.3331, 0.3331, 0.6536)
Br (0.3707, 0.3707, 0.4078)
Br (0.6281, 0.6281, 0.5912)
Br (0.6658, 0.6658, 0.3456)
Br (0.7122, 0.7122, 0.0782)
Br (0.9620, 0.9620, 0.2477)

Top 8 peaks for 15° ≤ 2θ ≤ 90°, by intensity:
two_theta, Rel. int.
26.7, 100
28.2, 86
43.0, 57
27.3, 54
28.8, 48
26.5, 43
41.7, 33
33.8, 32



4.
This entry pairs a crystal structure of Rb3Ca2Br7 with its simulated XRD peak list. Radiation: copper Kα. Structure: a PBE-relaxed structure.

Cell and atoms:
a b c (Å): 14.9226 14.9226 14.9226
angles (deg): 157.89 157.89 31.47
Sites, in units of the cell vectors:
Rb (0.0000, 0.0000, 0.0000)
Rb (0.1819, 0.1819, 0.0000)
Rb (0.8181, 0.8181, 0.0000)
Ca (0.3986, 0.3986, 0.0000)
Ca (0.6014, 0.6014, 0.0000)
Br (0.0967, 0.5967, 0.5000)
Br (0.3001, 0.3001, 0.0000)
Br (0.4033, 0.9033, 0.5000)
Br (0.5000, 0.5000, 0.0000)
Br (0.5967, 0.0967, 0.5000)
Br (0.6999, 0.6999, 0.0000)
Br (0.9033, 0.4033, 0.5000)

Top 8 peaks for 15° ≤ 2θ ≤ 90°, by intensity:
two_theta, Rel. int.
28.9, 100
31.3, 100
44.7, 91
25.3, 57
31.1, 39
54.2, 33
55.6, 29
74.1, 28



5.
This entry pairs a crystal structure of Rb3Ca2Br6 with its simulated XRD peak list. Radiation: copper Kα. Structure: a PBE-relaxed structure.

Cell and atoms:
a b c (Å): 13.8906 13.8906 13.8906
angles (deg): 156.05 156.05 34.12
Sites, in units of the cell vectors:
Rb (0.0000, 0.0000, 0.0000)
Rb (0.1789, 0.1789, 0.0000)
Rb (0.8211, 0.8211, 0.0000)
Ca (0.4150, 0.4150, 0.0000)
Ca (0.5850, 0.5850, 0.0000)
Br (0.0852, 0.5852, 0.5000)
Br (0.3063, 0.3063, 0.0000)
Br (0.4148, 0.9148, 0.5000)
Br (0.5852, 0.0852, 0.5000)
Br (0.6937, 0.6937, 0.0000)
Br (0.9148, 0.4148, 0.5000)

Top 8 peaks for 15° ≤ 2θ ≤ 90°, by intensity:
two_theta, Rel. int.
29.8, 100
31.0, 97
22.8, 54
54.4, 36
44.5, 35
46.5, 24
28.2, 24
52.1, 22



6.
This entry pairs a crystal structure of Rb2CaSeBr6 with its simulated XRD peak list. Radiation: copper Kα. Structure: a PBE-relaxed structure.

Cell and atoms:
a b c (Å): 8.0877 8.0877 8.0877
angles (deg): 117.23 117.23 94.88
Sites, in units of the cell vectors:
Rb (0.2500, 0.7500, 0.5000)
Rb (0.7500, 0.2500, 0.5000)
Ca (0.0000, 0.0000, 0.0000)
Se (0.5000, 0.5000, 0.0000)
Br (0.2382, 0.2382, 0.4764)
Br (0.2382, 0.7618, 0.0000)
Br (0.2691, 0.2691, 0.0000)
Br (0.7309, 0.7309, 0.0000)
Br (0.7618, 0.2382, 0.0000)
Br (0.7618, 0.7618, 0.5236)

Top 8 peaks for 15° ≤ 2θ ≤ 90°, by intensity:
two_theta, Rel. int.
26.7, 100
30.0, 78
45.0, 47
51.3, 30
32.7, 30
42.9, 28
55.0, 25
80.1, 16



7.
This entry pairs a crystal structure of RbCa2SnBr8 with its simulated XRD peak list. Radiation: copper Kα. Structure: a PBE-relaxed structure.

Cell and atoms:
a b c (Å): 6.7709 7.0473 9.1623
angles (deg): 89.98 89.95 89.18
Sites, in units of the cell vectors:
Rb (0.0000, 0.0000, 0.0000)
Ca (0.4999, 0.5000, 0.2493)
Ca (0.5001, 0.5000, 0.7507)
Sn (0.0000, 0.0000, 0.5000)
Br (0.2493, 0.8414, 0.7127)
Br (0.2498, 0.8420, 0.2872)
Br (0.2539, 0.3363, 0.5001)
Br (0.2729, 0.3787, 0.0002)
Br (0.7271, 0.6213, 0.9998)
Br (0.7461, 0.6637, 0.4999)
Br (0.7502, 0.1580, 0.7128)
Br (0.7507, 0.1586, 0.2873)

Top 8 peaks for 15° ≤ 2θ ≤ 90°, by intensity:
two_theta, Rel. int.
26.8, 100
28.4, 56
35.2, 56
43.3, 47
35.5, 43
18.0, 36
26.6, 32
39.3, 29



8.
This entry pairs a crystal structure of RbCaTl2Br5 with its simulated XRD peak list. Radiation: copper Kα. Structure: a PBE-relaxed structure.

Cell and atoms:
a b c (Å): 9.3943 9.3943 9.3943
angles (deg): 145.68 129.45 62.53
Sites, in units of the cell vectors:
Rb (0.0000, 0.0000, 0.0000)
Ca (0.5000, 0.5000, 0.0000)
Tl (0.2905, 0.7905, 0.5000)
Tl (0.7095, 0.2095, 0.5000)
Br (0.1195, 0.3698, 0.7497)
Br (0.3799, 0.6302, 0.7497)
Br (0.5000, 0.0000, 0.5000)
Br (0.6201, 0.3698, 0.2503)
Br (0.8805, 0.6302, 0.2503)

Top 8 peaks for 15° ≤ 2θ ≤ 90°, by intensity:
two_theta, Rel. int.
32.2, 100
22.4, 62
31.5, 47
28.0, 47
19.5, 34
45.8, 33
56.6, 31
30.0, 17



9.
This entry pairs a crystal structure of RbCaZnBr5 with its simulated XRD peak list. Radiation: copper Kα. Structure: a PBE-relaxed structure.

Cell and atoms:
a b c (Å): 8.0031 8.0031 10.4462
angles (deg): 104.35 104.35 105.58
Sites, in units of the cell vectors:
Rb (0.1537, 0.8463, 0.7500)
Rb (0.8463, 0.1537, 0.2500)
Ca (0.5000, 0.5000, 0.0000)
Ca (0.5000, 0.5000, 0.5000)
Zn (0.1858, 0.8142, 0.2500)
Zn (0.8142, 0.1858, 0.7500)
Br (0.1115, 0.2534, 0.9304)
Br (0.1762, 0.5976, 0.3795)
Br (0.2534, 0.1115, 0.4304)
Br (0.4024, 0.8238, 0.1205)
Br (0.4182, 0.5818, 0.7500)
Br (0.5818, 0.4182, 0.2500)
Br (0.5976, 0.1762, 0.8795)
Br (0.7466, 0.8885, 0.5696)
Br (0.8238, 0.4024, 0.6205)
Br (0.8885, 0.7466, 0.0696)

Top 8 peaks for 15° ≤ 2θ ≤ 90°, by intensity:
two_theta, Rel. int.
26.6, 100
28.7, 27
43.0, 26
18.5, 26
23.3, 21
20.1, 21
29.6, 20
35.3, 19



10.
This entry pairs a crystal structure of Ca2ReBr with its simulated XRD peak list. Radiation: copper Kα. Structure: a PBE-relaxed structure.

Cell and atoms:
a b c (Å): 5.8941 5.8941 5.3157
angles (deg): 90.08 90.08 31.37
Sites, in units of the cell vectors:
Ca (0.0000, 0.0000, 0.0000)
Ca (0.7378, 0.7378, 0.5014)
Re (0.4785, 0.4785, 0.5001)
Br (0.2640, 0.2640, 0.0018)

Top 8 peaks for 15° ≤ 2θ ≤ 90°, by intensity:
two_theta, Rel. int.
33.7, 100
40.7, 58
22.9, 45
31.5, 36
46.8, 23
29.1, 22
15.6, 22
16.7, 15